# Ba2IO4
Computed X-ray powder pattern, Cu Kα X-rays. Input: a DFT-relaxed cell (GGA-PBE, Alexandria).

Atomic structure:
Lattice parameters (Å, degrees): 5.797 5.797 5.797 113.79 113.79 101.14
Fractional positions:
Ba (0.000, 0.500, 0.500)
Ba (0.500, 0.000, 0.500)
I (0.237, 0.237, 0.000)
O (0.041, 0.041, 0.545)
O (0.041, 0.497, 0.000)
O (0.497, 0.041, 0.000)
O (0.497, 0.497, 0.455)

Top 6 peaks for 10° ≤ 2θ ≤ 80°, in order of rising 2θ:
| 2theta | I/Imax |
| --- | --- |
| 18.5 | 46 |
| 19.8 | 19 |
| 28.2 | 45 |
| 31.5 | 100 |
| 40.3 | 33 |
| 52.0 | 47 |